Computed powder X-ray diffraction pattern of Ba2Mg2Tl2Ni3O10 for Cu Kα, from a GGA+U-relaxed structure.

Structural model:
Lattice parameters (Å, degrees): 20.418 20.418 3.561 94.96 94.96 10.65
Fractional coordinates of all 19 atoms:
1 Ba 0.000 0.000 0.000
2 Ba 0.711 0.711 0.708
3 Mg 0.813 0.813 0.809
4 Mg 0.898 0.898 0.894
5 Tl 0.137 0.137 0.136
6 Tl 0.577 0.577 0.576
7 Ni 0.274 0.274 0.270
8 Ni 0.354 0.354 0.351
9 Ni 0.436 0.436 0.432
10 O 0.084 0.084 0.084
11 O 0.188 0.188 0.186
12 O 0.296 0.296 0.792
13 O 0.379 0.379 0.876
14 O 0.458 0.458 0.954
15 O 0.526 0.526 0.526
16 O 0.630 0.630 0.629
17 O 0.758 0.758 0.255
18 O 0.838 0.838 0.334
19 O 0.922 0.922 0.418

Largest 10 diffraction maxima, sorted by position, 2θ = 10–90°:
- 26.0 deg, d = 3.434 Å, rel. 27
- 28.1 deg, d = 3.171 Å, rel. 92
- 29.5 deg, d = 3.033 Å, rel. 82
- 30.9 deg, d = 2.896 Å, rel. 85
- 32.1 deg, d = 2.793 Å, rel. 40
- 34.6 deg, d = 2.595 Å, rel. 100
- 34.9 deg, d = 2.574 Å, rel. 35
- 47.0 deg, d = 1.932 Å, rel. 57
- 48.0 deg, d = 1.895 Å, rel. 29
- 61.1 deg, d = 1.517 Å, rel. 32